Cs4Pr3CrO8: computed powder X-ray diffraction pattern (Cu Kα (λ = 1.5418 Å)), based on a DFT-relaxed cell (PBE+U, Alexandria).
Intensities are scaled so that the largest is 100.

Atomic structure:
Lattice parameters (Å, degrees): 7.2433 7.2433 20.6920 90.00 90.00 120.00
Space group R-3m (No. 166, hexagonal axes)
Inequivalent atoms, fractional coordinates:
Cs 0.0000 0.0000 0.0000 (multiplicity 3)
Cs 0.0000 0.5000 0.0000 (multiplicity 9)
Pr 0.0000 0.5000 0.5000 (multiplicity 9)
Cr 0.0000 0.0000 0.5000 (multiplicity 3)
O 0.0000 0.0000 0.2243 (multiplicity 6)
O 0.0272 0.5136 0.2213 (multiplicity 18)

Peak list (10 most intense, 10 to 90 degrees two-theta, sorted by position)
Position (°2θ)	d [Å]	I (rel.)
25.8	3.449	48
29.8	3.002	85
33.4	2.682	100
45.5	1.995	36
50.4	1.811	31
53.0	1.727	29
57.5	1.603	31
61.8	1.501	16
76.2	1.249	21
83.7	1.156	13